# SrPr2VN4
Computed XRD peak list, Cu Kα. Input: the PBE geometry in Alexandria.
Kinematic intensities with the Lorentz-polarization factor, no thermal factor.

Largest 6 diffraction maxima, by intensity, 5 to 70 degrees two-theta:
two_theta  intensity
29.95  100
28.86  92
36.45  75
25.97  64
34.14  56
50.11  49

Cell and atoms:
```
data_SrPr2VN4
_cell_length_a 3.5424
_cell_length_b 12.3796
_cell_length_c 12.3668
_cell_angle_alpha 90.00
_cell_angle_beta 90.00
_cell_angle_gamma 90.00
_symmetry_space_group_name_H-M 'C m c m'
_symmetry_Int_Tables_number 63
_symmetry_space_group_name_Hall '-C 2c 2'
loop_
_atom_site_label
_atom_site_type_symbol
_atom_site_fract_x
_atom_site_fract_y
_atom_site_fract_z
_atom_site_occupancy
Sr1 Sr 0.0000 0.0947 0.2500 1
Pr1 Pr 0.0000 0.3694 0.0413 1
V1 V 0.0000 0.1791 0.7500 1
N1 N 0.0000 0.0000 0.0000 1
N2 N 0.0000 0.2639 0.6328 1
N3 N 0.0000 0.3974 0.2500 1
```


# Ho3CdGa
Computed XRD peak list, Cu Kα. Input: the PBE geometry in Alexandria.
Kinematic intensities with the Lorentz-polarization factor, no thermal factor.

Largest 6 diffraction maxima, by intensity, 5 to 70 degrees two-theta:
two_theta  intensity
33.64  100
36.31  23
34.60  23
63.63  16
51.02  15
61.39  13

Cell and atoms:
```
data_Ho3CdGa
_cell_length_a 4.9485
_cell_length_b 19.9374
_cell_length_c 10.3707
_cell_angle_alpha 90.00
_cell_angle_beta 90.00
_cell_angle_gamma 90.00
_symmetry_space_group_name_H-M 'I m m a'
_symmetry_Int_Tables_number 74
_symmetry_space_group_name_Hall '-I 2b 2'
loop_
_atom_site_label
_atom_site_type_symbol
_atom_site_fract_x
_atom_site_fract_y
_atom_site_fract_z
_atom_site_occupancy
Ho1 Ho 0.0000 0.0319 0.1384 1
Ho2 Ho 0.0000 0.1417 0.8657 1
Ho3 Ho 0.0000 0.1545 0.3716 1
Cd1 Cd 0.0000 0.2500 0.1013 1
Cd2 Cd 0.0000 0.2500 0.6281 1
Ga1 Ga 0.0000 0.0546 0.5881 1
```


# Sm4Dy3Hg
Computed XRD peak list, Cu Kα. Input: the PBE geometry in Alexandria.
Kinematic intensities with the Lorentz-polarization factor, no thermal factor.

Largest 6 diffraction maxima, by intensity, 5 to 70 degrees two-theta:
two_theta  intensity
30.96  100
35.04  39
60.32  31
52.31  19
50.39  14
37.57  13

Cell and atoms:
```
data_Sm4Dy3Hg
_cell_length_a 3.6220
_cell_length_b 3.6220
_cell_length_c 19.1524
_cell_angle_alpha 90.00
_cell_angle_beta 90.00
_cell_angle_gamma 90.00
_symmetry_space_group_name_H-M 'P 4/m m m'
_symmetry_Int_Tables_number 123
_symmetry_space_group_name_Hall '-P 4 2'
loop_
_atom_site_label
_atom_site_type_symbol
_atom_site_fract_x
_atom_site_fract_y
_atom_site_fract_z
_atom_site_occupancy
Sm1 Sm 0.0000 0.0000 0.1072 1
Sm2 Sm 0.0000 0.0000 0.3694 1
Dy1 Dy 0.5000 0.5000 0.2386 1
Dy2 Dy 0.5000 0.5000 0.5000 1
Hg1 Hg 0.5000 0.5000 0.0000 1
```